[1]
Structure and calculated X-ray diffraction stick pattern of Sc7Cr5Ge9 (a structure optimized by DFT (GGA-PBE); λ = 1.5418 Å (Cu Kα)).
No peak broadening, texture or thermal motion is included.

Cell and atoms:
Cell lengths 14.0353, 14.1180, 14.1529 Å; angles 90.00, 90.00, 90.00 degrees
Space group Fmmm (No. 69)
Unique sites:
1 Sc 0.0000 0.0000 0.1782
2 Sc 0.0000 0.1625 0.5000
3 Sc 0.1277 0.1885 0.1259
4 Sc 0.1798 0.0000 0.0000
5 Cr 0.1231 0.0000 0.5000
6 Cr 0.1596 0.0969 0.3397
7 Ge 0.0000 0.0000 0.3745
8 Ge 0.0000 0.1111 0.0000
9 Ge 0.0000 0.1693 0.2922
10 Ge 0.1874 0.0000 0.1867
11 Ge 0.2027 0.1639 0.5000
12 Ge 0.2500 0.2500 0.2500

Most intense lines, 5° ≤ 2θ ≤ 70°, most intense first:
d 2.389, I = 1000; d 2.356, I = 972; d 2.349, I = 848; d 2.152, I = 611; d 2.377, I = 530; d 1.835, I = 500

[2]
Structure and calculated X-ray diffraction stick pattern of ScCrGe2 (a structure optimized by DFT (GGA-PBE); λ = 1.5418 Å (Cu Kα)).
No peak broadening, texture or thermal motion is included.

Cell and atoms:
Cell lengths 9.4217, 10.1269, 8.1733 Å; angles 90.00, 90.00, 90.00 degrees
Space group Pbam (No. 55)
Unique sites:
1 Sc 0.1653 0.1799 0.0000
2 Sc 0.1699 0.4539 0.2443
3 Cr 0.0000 0.0000 0.2449
4 Cr 0.0813 0.7549 0.2494
5 Ge 0.0406 0.6204 0.0000
6 Ge 0.0420 0.6225 0.5000
7 Ge 0.1262 0.9071 0.5000
8 Ge 0.1329 0.9003 0.0000
9 Ge 0.1690 0.1823 0.3403

Most intense lines, 5° ≤ 2θ ≤ 70°, most intense first:
d 2.297, I = 1000; d 2.278, I = 704; d 2.418, I = 656; d 2.152, I = 525; d 2.445, I = 335; d 2.043, I = 263

[3]
Structure and calculated X-ray diffraction stick pattern of SmCrGe3 (a structure optimized by DFT (GGA-PBE); λ = 1.5418 Å (Cu Kα)).
No peak broadening, texture or thermal motion is included.

Cell and atoms:
Cell lengths 6.1333, 6.1333, 5.7140 Å; angles 90.00, 90.00, 120.00 degrees
Space group P6_3/mmc (No. 194)
Unique sites:
1 Sm 0.3333 0.6667 0.2500
2 Cr 0.0000 0.0000 0.0000
3 Ge 0.1924 0.3848 0.7500

Most intense lines, 5° ≤ 2θ ≤ 70°, most intense first:
d 2.408, I = 1000; d 1.945, I = 303; d 2.857, I = 299; d 1.548, I = 250; d 3.067, I = 224; d 2.516, I = 212

[4]
Structure and calculated X-ray diffraction stick pattern of Ti4Cr2Ge5 (a structure optimized by DFT (GGA-PBE); λ = 1.5418 Å (Cu Kα)).
No peak broadening, texture or thermal motion is included.

Cell and atoms:
Cell lengths 9.7520, 15.6580, 5.1916 Å; angles 90.00, 121.27, 90.00 degrees
Space group C2/m (No. 12)
Unique sites:
1 Ti 0.9997 0.0000 0.2422
2 Ti 0.2205 0.4108 0.7211
3 Ti 0.2500 0.2500 0.0000
4 Cr 0.0000 0.3499 0.0000
5 Cr 0.2500 0.2500 0.5000
6 Ge 0.0000 0.1731 0.0000
7 Ge 0.0000 0.2902 0.5000
8 Ge 0.0022 0.5000 0.2404
9 Ge 0.1985 0.1085 0.6910

Most intense lines, 5° ≤ 2θ ≤ 70°, most intense first:
d 2.212, I = 1000; d 2.163, I = 778; d 2.085, I = 708; d 2.135, I = 620; d 2.107, I = 604; d 2.681, I = 221

[5]
Structure and calculated X-ray diffraction stick pattern of Ti4Cr2Ge5 (a structure optimized by DFT (GGA-PBE); λ = 1.5418 Å (Cu Kα)).
No peak broadening, texture or thermal motion is included.

Cell and atoms:
Cell lengths 7.8566, 16.5078, 5.0471 Å; angles 90.00, 90.00, 90.00 degrees
Space group Ibam (No. 72)
Unique sites:
1 Ti 0.1079 0.1432 0.0000
2 Ti 0.2404 0.4357 0.0000
3 Cr 0.0000 0.3073 0.2500
4 Ge 0.0000 0.0000 0.2500
5 Ge 0.0948 0.4285 0.5000
6 Ge 0.2009 0.2143 0.5000

Most intense lines, 5° ≤ 2θ ≤ 70°, most intense first:
d 2.259, I = 1000; d 2.238, I = 940; d 2.202, I = 839; d 2.365, I = 529; d 2.309, I = 500; d 2.123, I = 450

[6]
Structure and calculated X-ray diffraction stick pattern of V5Cr5Ge6 (a structure optimized by DFT (GGA-PBE); λ = 1.5418 Å (Cu Kα)).
No peak broadening, texture or thermal motion is included.

Cell and atoms:
Cell lengths 13.3961, 4.8174, 9.4610 Å; angles 90.00, 134.79, 90.00 degrees
Space group Cm (No. 8)
Unique sites:
1 V 0.0000 0.0000 0.0000
2 V 0.9998 0.5000 0.4669
3 V 0.3482 0.5000 0.3179
4 V 0.4248 0.2505 0.6592
5 Cr 0.1553 0.0000 0.4641
6 Cr 0.1561 0.5000 0.3171
7 Cr 0.1917 0.0000 0.0037
8 Cr 0.1937 0.5000 0.8540
9 Cr 0.3512 0.0000 0.8526
10 Ge 0.0916 0.5000 0.9945
11 Ge 0.0963 0.0000 0.6627
12 Ge 0.2562 0.0000 0.3241
13 Ge 0.2557 0.5000 0.6592
14 Ge 0.4235 0.2495 0.1569

Most intense lines, 5° ≤ 2θ ≤ 70°, most intense first:
d 2.148, I = 1000; d 2.079, I = 833; d 2.072, I = 828; d 1.956, I = 509; d 2.118, I = 495; d 2.124, I = 493